Computed X-ray powder pattern of LiNiPCO7 for copper Kα, from DFT lattice parameters and positions (GGA+U).
No peak broadening, texture or thermal motion is included.

Atomic structure:
abc: 5.089 6.353 8.634
angles: 90.00 93.97 90.00
Space group P2_1 (No. 4)
Unique sites:
Li1 0.222 0.000 0.269
Ni1 0.209 0.257 0.840
P1 0.280 0.758 0.929
C1 0.278 0.257 0.563
O1 0.047 0.264 0.618
O2 0.151 0.778 0.084
O3 0.168 0.573 0.829
O4 0.217 0.948 0.820
O5 0.312 0.226 0.422
O6 0.418 0.235 0.039
O7 0.470 0.277 0.669

Peak list (10 most intense, 10° ≤ 2θ ≤ 90°, in order of rising 2θ)
- 2θ 10.27, I = 100, hkl 0 0 1
- 2θ 17.34, I = 53, hkl 0 1 1
- 2θ 19.67, I = 35, hkl 1 0 -1
- 2θ 20.92, I = 42, hkl 1 0 1
- 2θ 22.42, I = 22, hkl 1 1 0
- 2θ 25.22, I = 18, hkl 1 1 1
- 2θ 26.19, I = 35, hkl 1 0 -2
- 2θ 28.09, I = 72, hkl 0 2 0
- 2θ 35.34, I = 18, hkl 2 0 0
- 2θ 39.74, I = 16, hkl 1 1 3